Theoretical X-ray diffraction stick pattern
Compound: KCu2TeCl8
Radiation: Cu Kα X-rays
Structure: a cell relaxed with PBE

Structure:
Cell lengths 6.3821, 6.9941, 8.8191 Å; angles 69.04, 82.02, 82.78 degrees
Space group P-1 (No. 2)
Unique sites:
K 0.0000 0.0000 0.0000 (multiplicity 1)
Cu 0.4909 0.5238 0.8231 (multiplicity 2)
Te 0.0000 0.5000 0.5000 (multiplicity 1)
Cl 0.1341 0.4750 0.7743 (multiplicity 2)
Cl 0.1487 0.8431 0.3527 (multiplicity 2)
Cl 0.3572 0.3086 0.4277 (multiplicity 2)
Cl 0.4702 0.7587 0.9563 (multiplicity 2)

Most intense lines, 10 to 90 degrees two-theta, in order of falling intensity:
2theta, I/Imax
13.60, 100
21.52, 50
18.35, 36
16.86, 33
24.67, 31
43.37, 25
28.34, 25
47.96, 24
29.84, 23
18.62, 22

Theoretical X-ray diffraction stick pattern
Compound: Pm4SmY15
Radiation: Cu Kα X-rays
Structure: a cell relaxed with PBE

Structure:
Cell lengths 5.0915, 5.0915, 25.3846 Å; angles 90.00, 90.00, 90.00 degrees
Space group P4/mmm (No. 123)
Unique sites:
Pm 0.0000 0.0000 0.1001 (multiplicity 2)
Pm 0.0000 0.0000 0.3001 (multiplicity 2)
Sm 0.0000 0.0000 0.5000 (multiplicity 1)
Y 0.0000 0.5000 0.0000 (multiplicity 2)
Y 0.0000 0.5000 0.2001 (multiplicity 4)
Y 0.0000 0.5000 0.4002 (multiplicity 4)
Y 0.5000 0.5000 0.1001 (multiplicity 2)
Y 0.5000 0.5000 0.3002 (multiplicity 2)
Y 0.5000 0.5000 0.5000 (multiplicity 1)

Most intense lines, 10 to 90 degrees two-theta, in order of falling intensity:
2theta, I/Imax
30.44, 100
50.77, 35
35.25, 34
60.31, 28
35.36, 17
60.45, 14
63.34, 12
82.74, 11
85.27, 10
82.61, 6

Theoretical X-ray diffraction stick pattern
Compound: Nb6GaMo
Radiation: Cu Kα X-rays
Structure: a cell relaxed with PBE

Structure:
Cell lengths 4.6679, 4.6679, 12.9848 Å; angles 90.00, 90.00, 90.00 degrees
Space group I4/mmm (No. 139)
Unique sites:
Nb 0.0000 0.0000 0.2486 (multiplicity 4)
Nb 0.0000 0.5000 0.1240 (multiplicity 8)
Ga 0.0000 0.0000 0.0000 (multiplicity 2)
Mo 0.0000 0.0000 0.5000 (multiplicity 2)

Most intense lines, 10 to 90 degrees two-theta, in order of falling intensity:
2theta, I/Imax
38.91, 100
38.57, 51
70.02, 34
55.70, 17
70.69, 16
83.55, 10
56.71, 8
82.69, 5
20.22, 1